Diffraction record for Nd12MgTl3. The powder X-ray diffraction pattern is theoretical, not measured: it uses a PBE-relaxed structure and copper Kα.

Principal peaks in the range 10° ≤ 2θ ≤ 80°, low angle first:
2theta	I (rel.)
18.27	20
19.83	16
28.56	14
30.95	1000
35.89	506
51.66	359
61.45	426
64.51	123
76.04	38
76.17	20

Structure:
```
data_Nd12MgTl3
_cell_length_a 5.006
_cell_length_b 5.006
_cell_length_c 19.998
_cell_angle_alpha 90.00
_cell_angle_beta 90.00
_cell_angle_gamma 90.00
_space_group_name_H-M_alt 'P 1'
_space_group_IT_number 1
loop_
_space_group_symop_operation_xyz
'x,y,z'
loop_
_atom_site_label
_atom_site_fract_x
_atom_site_fract_y
_atom_site_fract_z
_atom_site_occupancy
Nd1 0.000 0.000 0.000 1
Nd2 0.000 0.000 0.249 1
Nd3 0.000 0.000 0.500 1
Nd4 0.000 0.000 0.751 1
Nd5 0.000 0.500 0.126 1
Nd6 0.000 0.500 0.375 1
Nd7 0.000 0.500 0.625 1
Nd8 0.000 0.500 0.874 1
Nd9 0.500 0.000 0.126 1
Nd10 0.500 0.000 0.375 1
Nd11 0.500 0.000 0.625 1
Nd12 0.500 0.000 0.874 1
Mg1 0.500 0.500 0.000 1
Tl1 0.500 0.500 0.251 1
Tl2 0.500 0.500 0.500 1
Tl3 0.500 0.500 0.749 1
```

=====

Diffraction record for NdMg4Tl5. The powder X-ray diffraction pattern is theoretical, not measured: it uses a PBE-relaxed structure and copper Kα.

Principal peaks in the range 10° ≤ 2θ ≤ 80°, low angle first:
2theta	I (rel.)
23.97	443
34.16	1000
42.16	128
48.94	46
49.15	128
55.39	125
61.06	96
61.19	245
71.88	59
72.05	41

Structure:
```
data_NdMg4Tl5
_cell_length_a 3.707
_cell_length_b 3.707
_cell_length_c 18.613
_cell_angle_alpha 90.00
_cell_angle_beta 90.00
_cell_angle_gamma 90.00
_space_group_name_H-M_alt 'P 1'
_space_group_IT_number 1
loop_
_space_group_symop_operation_xyz
'x,y,z'
loop_
_atom_site_label
_atom_site_fract_x
_atom_site_fract_y
_atom_site_fract_z
_atom_site_occupancy
Nd1 0.000 0.000 0.000 1
Mg1 0.000 0.000 0.209 1
Mg2 0.000 0.000 0.402 1
Mg3 0.000 0.000 0.598 1
Mg4 0.000 0.000 0.791 1
Tl1 0.500 0.500 0.115 1
Tl2 0.500 0.500 0.306 1
Tl3 0.500 0.500 0.500 1
Tl4 0.500 0.500 0.694 1
Tl5 0.500 0.500 0.885 1
```

=====

Diffraction record for NdMg4Tl. The powder X-ray diffraction pattern is theoretical, not measured: it uses a PBE-relaxed structure and copper Kα.

Principal peaks in the range 10° ≤ 2θ ≤ 80°, low angle first:
2theta	I (rel.)
17.88	693
29.41	1000
34.63	975
46.05	194
52.16	412
55.59	336
61.01	214
64.13	148
69.16	178
72.09	116

Structure:
```
data_NdMg4Tl
_cell_length_a 6.075
_cell_length_b 6.075
_cell_length_c 6.075
_cell_angle_alpha 60.00
_cell_angle_beta 60.00
_cell_angle_gamma 60.00
_space_group_name_H-M_alt 'P 1'
_space_group_IT_number 1
loop_
_space_group_symop_operation_xyz
'x,y,z'
loop_
_atom_site_label
_atom_site_fract_x
_atom_site_fract_y
_atom_site_fract_z
_atom_site_occupancy
Nd1 0.000 0.000 0.000 1
Mg1 0.375 0.375 0.375 1
Mg2 0.375 0.375 0.875 1
Mg3 0.375 0.875 0.375 1
Mg4 0.875 0.375 0.375 1
Tl1 0.750 0.750 0.750 1
```

=====

Diffraction record for NdMg2Tl4. The powder X-ray diffraction pattern is theoretical, not measured: it uses a PBE-relaxed structure and copper Kα.

Principal peaks in the range 10° ≤ 2θ ≤ 80°, low angle first:
2theta	I (rel.)
23.85	213
24.67	483
27.46	184
34.58	1000
35.17	539
42.94	188
50.59	195
51.30	128
61.59	129
62.73	364

Structure:
```
data_NdMg2Tl4
_cell_length_a 5.103
_cell_length_b 5.103
_cell_length_c 7.461
_cell_angle_alpha 90.00
_cell_angle_beta 90.00
_cell_angle_gamma 90.00
_space_group_name_H-M_alt 'P 1'
_space_group_IT_number 1
loop_
_space_group_symop_operation_xyz
'x,y,z'
loop_
_atom_site_label
_atom_site_fract_x
_atom_site_fract_y
_atom_site_fract_z
_atom_site_occupancy
Nd1 0.000 0.000 0.000 1
Mg1 0.000 0.000 0.500 1
Mg2 0.500 0.500 0.000 1
Tl1 0.000 0.500 0.281 1
Tl2 0.000 0.500 0.719 1
Tl3 0.500 0.000 0.281 1
Tl4 0.500 0.000 0.719 1
```

=====

Diffraction record for NdTm4Mg. The powder X-ray diffraction pattern is theoretical, not measured: it uses a PBE-relaxed structure and copper Kα.

Principal peaks in the range 10° ≤ 2θ ≤ 80°, low angle first:
2theta	I (rel.)
28.08	90
31.48	1000
35.72	364
38.02	142
51.41	128
53.16	195
58.09	72
61.54	310
64.65	78
65.71	99

Structure:
```
data_NdTm4Mg
_cell_length_a 3.555
_cell_length_b 3.555
_cell_length_c 14.196
_cell_angle_alpha 90.00
_cell_angle_beta 90.00
_cell_angle_gamma 90.00
_space_group_name_H-M_alt 'P 1'
_space_group_IT_number 1
loop_
_space_group_symop_operation_xyz
'x,y,z'
loop_
_atom_site_label
_atom_site_fract_x
_atom_site_fract_y
_atom_site_fract_z
_atom_site_occupancy
Nd1 0.000 0.000 0.000 1
Tm1 0.000 0.000 0.348 1
Tm2 0.000 0.000 0.652 1
Tm3 0.500 0.500 0.179 1
Tm4 0.500 0.500 0.821 1
Mg1 0.500 0.500 0.500 1
```

=====

Diffraction record for Nd2TmMg2. The powder X-ray diffraction pattern is theoretical, not measured: it uses a PBE-relaxed structure and copper Kα.

Principal peaks in the range 10° ≤ 2θ ≤ 80°, low angle first:
2theta	I (rel.)
20.05	386
25.45	406
30.30	1000
32.61	496
34.24	289
34.88	349
43.14	200
47.98	220
49.68	257
64.66	175

Structure:
```
data_Nd2TmMg2
_cell_length_a 6.027
_cell_length_b 6.027
_cell_length_c 6.027
_cell_angle_alpha 128.49
_cell_angle_beta 108.98
_cell_angle_gamma 93.00
_space_group_name_H-M_alt 'P 1'
_space_group_IT_number 1
loop_
_space_group_symop_operation_xyz
'x,y,z'
loop_
_atom_site_label
_atom_site_fract_x
_atom_site_fract_y
_atom_site_fract_z
_atom_site_occupancy
Nd1 0.195 0.195 0.000 1
Nd2 0.805 0.805 0.000 1
Tm1 0.500 0.000 0.500 1
Mg1 0.211 0.500 0.711 1
Mg2 0.789 0.500 0.289 1
```